(1)
# ZnIn
Theoretical powder diffractogram, copper Kα. Input: a structure optimized by DFT (GGA-PBE).

Crystal structure
abc: 4.8440 5.1169 8.9199
angles: 90.00 105.16 90.00
Sites, in units of the cell vectors:
1 Zn 0.0000 0.0000 0.0000
2 Zn 0.1162 0.5000 0.8669
3 Zn 0.4336 0.0000 0.8676
4 Zn 0.6820 0.5000 0.9993
5 Zn 0.8636 0.5000 0.4334
6 In 0.2293 0.0000 0.4337
7 In 0.2560 0.5000 0.2138
8 In 0.4729 0.5000 0.6513
9 In 0.6330 0.0000 0.2067
10 In 0.8566 0.0000 0.6623

Largest 10 diffraction maxima, in order of rising 2θ, 10° ≤ 2θ ≤ 90°:
2θ/deg, I/Imax
29.69, 17.5
29.89, 18.0
35.07, 79.1
36.37, 100.0
36.66, 95.4
37.12, 25.6
41.24, 60.1
51.99, 18.8
63.77, 18.2
63.95, 27.5

(2)
# ZnIn
Theoretical powder diffractogram, copper Kα. Input: a structure optimized by DFT (GGA-PBE).

Crystal structure
abc: 5.2818 13.6822 4.7175
angles: 90.00 90.00 90.00
Sites, in units of the cell vectors:
1 Zn 0.2500 0.1542 0.1656
2 Zn 0.2500 0.2500 0.6593
3 Zn 0.2500 0.3458 0.1656
4 Zn 0.2500 0.7500 0.6221
5 Zn 0.7500 0.2500 0.3779
6 Zn 0.7500 0.6542 0.8344
7 Zn 0.7500 0.7500 0.3407
8 Zn 0.7500 0.8458 0.8344
9 In 0.2500 0.0257 0.6538
10 In 0.2500 0.4743 0.6538
11 In 0.2500 0.6308 0.1228
12 In 0.2500 0.8692 0.1228
13 In 0.7500 0.1308 0.8772
14 In 0.7500 0.3692 0.8772
15 In 0.7500 0.5257 0.3462
16 In 0.7500 0.9743 0.3462

Largest 10 diffraction maxima, in order of rising 2θ, 10° ≤ 2θ ≤ 90°:
2θ/deg, I/Imax
28.53, 12.1
32.13, 14.2
32.33, 45.6
33.95, 65.8
36.64, 100.0
41.95, 64.9
47.57, 34.0
62.51, 21.0
66.24, 15.8
75.68, 13.4

(3)
# ZrIn
Theoretical powder diffractogram, copper Kα. Input: a structure optimized by DFT (GGA-PBE).

Crystal structure
abc: 3.1172 3.1172 4.5126
angles: 90.00 90.00 90.00
Sites, in units of the cell vectors:
1 Zr 0.0000 0.0000 0.0000
2 In 0.5000 0.5000 0.5000

Largest 10 diffraction maxima, in order of rising 2θ, 10° ≤ 2θ ≤ 90°:
2θ/deg, I/Imax
34.98, 100.0
39.96, 17.2
40.94, 32.0
58.54, 21.6
59.29, 10.4
69.37, 12.8
70.73, 24.2
73.91, 10.6
86.21, 1.8
88.77, 3.4

(4)
# Zr4In3
Theoretical powder diffractogram, copper Kα. Input: a structure optimized by DFT (GGA-PBE).

Crystal structure
abc: 8.3590 8.3590 5.3228
angles: 90.00 90.00 120.00
Sites, in units of the cell vectors:
1 Zr 0.0946 0.4698 0.2500
2 Zr 0.3333 0.6667 0.7500
3 Zr 0.3752 0.9054 0.2500
4 Zr 0.4698 0.3752 0.7500
5 Zr 0.5302 0.6248 0.2500
6 Zr 0.6248 0.0946 0.7500
7 Zr 0.6667 0.3333 0.2500
8 Zr 0.9054 0.5302 0.7500
9 In 0.0476 0.2426 0.7500
10 In 0.1950 0.9524 0.7500
11 In 0.2426 0.1950 0.2500
12 In 0.7574 0.8050 0.7500
13 In 0.8050 0.0476 0.2500
14 In 0.9524 0.7574 0.2500

Largest 10 diffraction maxima, in order of rising 2θ, 10° ≤ 2θ ≤ 90°:
2θ/deg, I/Imax
32.73, 23.2
33.68, 28.8
36.94, 100.0
47.67, 15.8
58.42, 16.7
62.38, 20.6
69.15, 19.8
71.16, 13.7
78.63, 3.4
80.21, 3.3

(5)
# ZrIn
Theoretical powder diffractogram, copper Kα. Input: a structure optimized by DFT (GGA-PBE).

Crystal structure
abc: 5.4500 5.4840 6.2576
angles: 90.00 91.49 90.00
Sites, in units of the cell vectors:
1 Zr 0.0000 0.0000 0.0000
2 Zr 0.0487 0.5000 0.7727
3 Zr 0.4939 0.0000 0.7679
4 Zr 0.5538 0.5000 0.0028
5 In 0.0558 0.5000 0.2593
6 In 0.5065 0.0000 0.2541
7 In 0.5425 0.5000 0.5172
8 In 0.9926 0.0000 0.5132

Largest 10 diffraction maxima, in order of rising 2θ, 10° ≤ 2θ ≤ 90°:
2θ/deg, I/Imax
32.66, 72.1
32.88, 62.1
36.63, 100.0
37.32, 94.1
47.02, 44.6
60.70, 17.6
60.90, 21.7
61.37, 21.0
62.11, 15.9
68.41, 14.7

(6)
# KIr8
Theoretical powder diffractogram, copper Kα. Input: a structure optimized by DFT (GGA-PBE).

Crystal structure
abc: 12.6876 12.4051 5.2700
angles: 80.90 74.89 24.21
Sites, in units of the cell vectors:
1 K 0.1250 0.1250 0.1250
2 K 0.8750 0.8750 0.8750
3 Ir 0.0946 0.5654 0.3654
4 Ir 0.1783 0.3234 0.7730
5 Ir 0.2253 0.7730 0.3234
6 Ir 0.2270 0.7747 0.8217
7 Ir 0.3234 0.1783 0.2253
8 Ir 0.3654 0.4746 0.0946
9 Ir 0.4346 0.9054 0.5254
10 Ir 0.4746 0.3654 0.5654
11 Ir 0.5254 0.6346 0.4346
12 Ir 0.5654 0.0946 0.4746
13 Ir 0.6346 0.5254 0.9054
14 Ir 0.6766 0.8217 0.7747
15 Ir 0.7730 0.2253 0.1783
16 Ir 0.7747 0.2270 0.6766
17 Ir 0.8217 0.6766 0.2270
18 Ir 0.9054 0.4346 0.6346

Largest 10 diffraction maxima, in order of rising 2θ, 10° ≤ 2θ ≤ 90°:
2θ/deg, I/Imax
14.79, 31.8
17.80, 32.8
25.52, 19.2
31.48, 24.2
36.95, 21.3
42.07, 100.0
43.35, 22.6
45.11, 17.9
45.42, 27.0
81.58, 18.2

(7)
# KIr5
Theoretical powder diffractogram, copper Kα. Input: a structure optimized by DFT (GGA-PBE).

Crystal structure
abc: 5.4296 5.4296 4.2613
angles: 90.00 90.00 120.00
Sites, in units of the cell vectors:
1 K 0.0000 0.0000 0.0000
2 Ir 0.0000 0.5000 0.5000
3 Ir 0.3333 0.6667 0.0000
4 Ir 0.5000 0.0000 0.5000
5 Ir 0.5000 0.5000 0.5000
6 Ir 0.6667 0.3333 0.0000

Largest 10 diffraction maxima, in order of rising 2θ, 10° ≤ 2θ ≤ 90°:
2θ/deg, I/Imax
18.87, 93.6
38.28, 25.0
39.35, 97.5
42.42, 34.7
43.99, 100.0
46.81, 18.8
63.21, 24.4
69.21, 24.7
78.71, 18.8
84.66, 29.3

(8)
# K3IrN6O12
Theoretical powder diffractogram, copper Kα. Input: a structure optimized by DFT (GGA-PBE).

Crystal structure
abc: 7.0692 7.0692 7.0692
angles: 60.00 60.00 60.00
Sites, in units of the cell vectors:
1 K 0.0000 0.0000 0.0000
2 K 0.2500 0.2500 0.2500
3 K 0.7500 0.7500 0.7500
4 Ir 0.5000 0.5000 0.5000
5 N 0.2971 0.2971 0.7029
6 N 0.2971 0.7029 0.2971
7 N 0.2971 0.7029 0.7029
8 N 0.7029 0.2971 0.2971
9 N 0.7029 0.2971 0.7029
10 N 0.7029 0.7029 0.2971
11 O 0.0955 0.5000 0.5000
12 O 0.0955 0.5000 0.9045
13 O 0.0955 0.9045 0.5000
14 O 0.5000 0.0955 0.5000
15 O 0.5000 0.0955 0.9045
16 O 0.5000 0.5000 0.0955
17 O 0.5000 0.5000 0.9045
18 O 0.5000 0.9045 0.0955
19 O 0.5000 0.9045 0.5000
20 O 0.9045 0.0955 0.5000
21 O 0.9045 0.5000 0.0955
22 O 0.9045 0.5000 0.5000

Largest 10 diffraction maxima, in order of rising 2θ, 10° ≤ 2θ ≤ 90°:
2θ/deg, I/Imax
15.35, 100.0
17.74, 25.9
25.20, 64.8
29.64, 22.4
30.99, 23.9
35.93, 60.9
44.39, 44.2
47.24, 31.5
51.72, 27.7
70.49, 21.4

(9)
# K3NaIrO6
Theoretical powder diffractogram, copper Kα. Input: a structure optimized by DFT (GGA-PBE).

Crystal structure
abc: 7.0175 7.0175 7.0175
angles: 92.23 92.23 92.23
Sites, in units of the cell vectors:
1 K 0.1049 0.7500 0.3951
2 K 0.2500 0.6049 0.8951
3 K 0.3951 0.1049 0.7500
4 K 0.6049 0.8951 0.2500
5 K 0.7500 0.3951 0.1049
6 K 0.8951 0.2500 0.6049
7 Na 0.2500 0.2500 0.2500
8 Na 0.7500 0.7500 0.7500
9 Ir 0.0000 0.0000 0.0000
10 Ir 0.5000 0.5000 0.5000
11 O 0.0466 0.9235 0.7439
12 O 0.0765 0.2561 0.9534
13 O 0.2439 0.4235 0.5466
14 O 0.2561 0.9534 0.0765
15 O 0.4235 0.5466 0.2439
16 O 0.4534 0.7561 0.5765
17 O 0.5466 0.2439 0.4235
18 O 0.5765 0.4534 0.7561
19 O 0.7439 0.0466 0.9235
20 O 0.7561 0.5765 0.4534
21 O 0.9235 0.7439 0.0466
22 O 0.9534 0.0765 0.2561

Largest 10 diffraction maxima, in order of rising 2θ, 10° ≤ 2θ ≤ 90°:
2θ/deg, I/Imax
17.53, 88.8
18.27, 100.0
25.43, 28.0
30.62, 63.1
31.05, 27.9
37.02, 20.5
40.20, 25.1
41.24, 36.3
48.77, 16.5
55.52, 19.6

(10)
# K2Na2IrO4
Theoretical powder diffractogram, copper Kα. Input: a structure optimized by DFT (GGA-PBE).

Crystal structure
abc: 5.9664 11.1088 9.2903
angles: 90.00 112.74 90.00
Sites, in units of the cell vectors:
1 K 0.1585 0.1325 0.2785
2 K 0.1585 0.3675 0.7785
3 K 0.1703 0.6369 0.0041
4 K 0.1703 0.8631 0.5041
5 K 0.8297 0.1369 0.4959
6 K 0.8297 0.3631 0.9959
7 K 0.8415 0.6325 0.2215
8 K 0.8415 0.8675 0.7215
9 Na 0.0673 0.1082 0.9059
10 Na 0.0673 0.3918 0.4059
11 Na 0.4308 0.6132 0.4073
12 Na 0.4308 0.8868 0.9073
13 Na 0.5692 0.1132 0.0927
14 Na 0.5692 0.3868 0.5927
15 Na 0.9327 0.6082 0.5941
16 Na 0.9327 0.8918 0.0941
17 Ir 0.4855 0.1295 0.7284
18 Ir 0.4855 0.3705 0.2284
19 Ir 0.5145 0.6295 0.7716
20 Ir 0.5145 0.8705 0.2716
21 O 0.2132 0.0328 0.7227
22 O 0.2132 0.4672 0.2227
23 O 0.2396 0.7256 0.7613
24 O 0.2396 0.7744 0.2613
25 O 0.2760 0.2313 0.5633
26 O 0.2760 0.2687 0.0633
27 O 0.2963 0.5339 0.5984
28 O 0.2963 0.9661 0.0984
29 O 0.7037 0.0339 0.9016
30 O 0.7037 0.4661 0.4016
31 O 0.7240 0.7313 0.9367
32 O 0.7240 0.7687 0.4367
33 O 0.7604 0.2256 0.7387
34 O 0.7604 0.2744 0.2387
35 O 0.7868 0.5328 0.7773
36 O 0.7868 0.9672 0.2773

Largest 10 diffraction maxima, in order of rising 2θ, 10° ≤ 2θ ≤ 90°:
2θ/deg, I/Imax
16.11, 59.0
19.04, 100.0
20.76, 97.7
22.25, 79.2
27.56, 63.0
31.07, 38.7
32.23, 35.7
33.39, 80.9
34.18, 56.6
45.37, 36.8

(11)
# KIrO3
Theoretical powder diffractogram, copper Kα. Input: a structure optimized by DFT (GGA-PBE).

Crystal structure
abc: 9.4515 9.4515 9.4515
angles: 90.00 90.00 90.00
Sites, in units of the cell vectors:
1 K 0.0000 0.0000 0.0000
2 K 0.0000 0.5000 0.5000
3 K 0.0986 0.0986 0.4014
4 K 0.0986 0.4014 0.0986
5 K 0.4014 0.0986 0.0986
6 K 0.4014 0.4014 0.4014
7 K 0.5000 0.0000 0.5000
8 K 0.5000 0.5000 0.0000
9 K 0.5986 0.5986 0.5986
10 K 0.5986 0.9014 0.9014
11 K 0.9014 0.5986 0.9014
12 K 0.9014 0.9014 0.5986
13 Ir 0.0921 0.2500 0.7500
14 Ir 0.2500 0.5921 0.7500
15 Ir 0.2500 0.7500 0.0921
16 Ir 0.2500 0.7500 0.4079
17 Ir 0.2500 0.9079 0.7500
18 Ir 0.4079 0.2500 0.7500
19 Ir 0.5921 0.7500 0.2500
20 Ir 0.7500 0.0921 0.2500
21 Ir 0.7500 0.2500 0.5921
22 Ir 0.7500 0.2500 0.9079
23 Ir 0.7500 0.4079 0.2500
24 Ir 0.9079 0.7500 0.2500
25 O 0.0446 0.7463 0.0951
26 O 0.0446 0.7537 0.4049
27 O 0.0951 0.0446 0.7463
28 O 0.0951 0.4554 0.7537
29 O 0.1082 0.7500 0.7500
30 O 0.2463 0.5951 0.9554
31 O 0.2463 0.9049 0.5446
32 O 0.2500 0.2500 0.6082
33 O 0.2500 0.2500 0.8918
34 O 0.2500 0.6082 0.2500
35 O 0.2500 0.8918 0.2500
36 O 0.2537 0.5951 0.5446
37 O 0.2537 0.9049 0.9554
38 O 0.3918 0.7500 0.7500
39 O 0.4049 0.0446 0.7537
40 O 0.4049 0.4554 0.7463
41 O 0.4554 0.7463 0.4049
42 O 0.4554 0.7537 0.0951
43 O 0.5446 0.2463 0.9049
44 O 0.5446 0.2537 0.5951
45 O 0.5951 0.5446 0.2537
46 O 0.5951 0.9554 0.2463
47 O 0.6082 0.2500 0.2500
48 O 0.7463 0.0951 0.0446
49 O 0.7463 0.4049 0.4554
50 O 0.7500 0.1082 0.7500
51 O 0.7500 0.3918 0.7500
52 O 0.7500 0.7500 0.1082
53 O 0.7500 0.7500 0.3918
54 O 0.7537 0.0951 0.4554
55 O 0.7537 0.4049 0.0446
56 O 0.8918 0.2500 0.2500
57 O 0.9049 0.5446 0.2463
58 O 0.9049 0.9554 0.2537
59 O 0.9554 0.2463 0.5951
60 O 0.9554 0.2537 0.9049

Largest 10 diffraction maxima, in order of rising 2θ, 10° ≤ 2θ ≤ 90°:
2θ/deg, I/Imax
13.25, 92.1
18.78, 38.3
29.90, 100.0
35.54, 76.2
49.15, 53.7
58.60, 32.2
60.37, 16.3
67.17, 18.5
70.45, 15.2
89.12, 18.0